Diffraction record for Pm5Pr3Y2. The XRD peak list is calculated, not measured: it uses a cell relaxed with GGA-PBE and CuKα.
Kinematic intensities with the Lorentz-polarization factor, no thermal factor.

Largest 10 diffraction maxima, in order of rising 2θ, 5 to 70 degrees two-theta:
2θ 20.84, intensity 19, (0 0 2); 2θ 29.09, intensity 81, (2 2 -3); 2θ 30.75, intensity 100, (2 4 -2); 2θ 31.79, intensity 17, (0 4 2); 2θ 32.69, intensity 42, (4 0 -2); 2θ 33.73, intensity 12, (0 2 3); 2θ 48.54, intensity 27, (0 6 3); 2θ 57.14, intensity 17, (6 4 -4); 2θ 59.81, intensity 19, (4 6 -5); 2θ 68.53, intensity 20, (8 0 -4)

Cell and atoms:
```
data_Pm5Pr3Y2
_chemical_formula_sum 'Pm20 Pr12 Y8'
_space_group_name_H-M_alt 'C 1 2/c 1'
_space_group_IT_number 15
_space_group_name_Hall '-C 2yc'
_cell_length_a 10.956
_cell_length_b 14.990
_cell_length_c 10.116
_cell_angle_alpha 90.00
_cell_angle_beta 122.55
_cell_angle_gamma 90.00
loop_
_atom_site_label
_atom_site_type_symbol
_atom_site_fract_x
_atom_site_fract_y
_atom_site_fract_z
_atom_site_occupancy
Pm1 Pm 0.000 0.017 0.250 1
Pm2 Pm 0.000 0.269 0.750 1
Pm3 Pm 0.000 0.475 0.750 1
Pm4 Pm 0.238 0.377 0.234 1
Pr1 Pr 0.000 0.228 0.250 1
Pr2 Pr 0.150 0.125 0.056 1
Y1 Y 0.155 0.377 0.553 1
```